Computed powder XRD pattern of FeCo3 for Cu Kα (weighted mean of Kα1 and Kα2), from a cell relaxed with GGA-PBE.

Cell and atoms:
```
FeCo3
1.0
1.9966 1.1527 6.5089
-1.9966 1.1527 6.5089
0.0000 -2.3054 6.5089
Fe Co
2 6
direct
0.1876 0.1876 0.1876 Fe
0.8124 0.8124 0.8124 Fe
0.0621 0.0621 0.0621 Co
0.3116 0.3116 0.3116 Co
0.4371 0.4371 0.4371 Co
0.5629 0.5629 0.5629 Co
0.6884 0.6884 0.6884 Co
0.9379 0.9379 0.9379 Co
```

Principal peaks in the range 2θ = 10–90°, low angle first:
| two_theta | d (Å) | I_rel |
| --- | --- | --- |
| 45.46 | 1.995 | 100 |
| 66.24 | 1.411 | 15 |
| 83.97 | 1.152 | 22 |
| 84.11 | 1.151 | 7 |